Diffraction record for Ce4Cu2Si5. The X-ray diffraction stick pattern is theoretical, not measured: it uses a DFT-relaxed cell (GGA-PBE, Alexandria) and Cu Kα (weighted mean of Kα1 and Kα2).
No peak broadening, texture or thermal motion is included.

Top 10 peaks for 10 to 80 degrees two-theta, by angle:
- (0 1 0), 2θ = 21.6°, rel. 31
- (1 0 -2), 2θ = 24.5°, rel. 49
- (1 1 1), 2θ = 28.3°, rel. 32
- (0 1 2), 2θ = 30.4°, rel. 39
- (1 1 -2), 2θ = 32.8°, rel. 100
- (1 1 2), 2θ = 34.3°, rel. 86
- (2 1 0), 2θ = 35.5°, rel. 79
- (0 2 0), 2θ = 44.0°, rel. 48
- (1 0 -4), 2θ = 44.4°, rel. 35
- (2 0 3), 2θ = 44.6°, rel. 40

Structure:
```
Ce4Cu2Si5
1.0
6.4242 0.0000 0.0000
0.0000 4.1170 0.0000
-0.6489 0.0000 8.3872
Ce Cu Si
4 2 5
direct
0.1907 0.0000 0.3955 Ce
0.2949 0.0000 0.9310 Ce
0.7051 0.0000 0.0690 Ce
0.8093 0.0000 0.6045 Ce
0.0591 0.5000 0.1391 Cu
0.9409 0.5000 0.8609 Cu
0.1885 0.5000 0.6662 Si
0.4266 0.5000 0.2017 Si
0.5000 0.5000 0.5000 Si
0.5734 0.5000 0.7983 Si
0.8115 0.5000 0.3338 Si
```